1.
Starting from a cell relaxed with PBE+U, the XRD peak list of K2BaNiF8 was calculated for CuKα.
Peak positions follow from Bragg's law for the DFT cell and can differ from measured ones.

Principal peaks in the range 10° ≤ 2θ ≤ 90°, sorted by position:
- (0 0 1), d 5.936, 14.9 deg, I = 760
- (1 0 0), d 4.504, 19.7 deg, I = 183
- (0 2 0), d 3.865, 23.0 deg, I = 235
- (1 0 -1), d 3.822, 23.3 deg, I = 724
- (1 0 1), d 3.392, 26.3 deg, I = 743
- (0 2 1), d 3.239, 27.5 deg, I = 1000
- (1 2 0), d 2.933, 30.5 deg, I = 315
- (2 0 0), d 2.251, 40.1 deg, I = 310
- (1 2 -2), d 2.175, 41.5 deg, I = 640
- (1 2 2), d 2.007, 45.2 deg, I = 295
- (2 2 -1), d 1.910, 47.6 deg, I = 256
- (2 4 0), d 1.467, 63.4 deg, I = 172

Lattice parameters (Å, degrees): 4.539 7.730 5.982 90.00 97.09 90.00
Space group P2/m (No. 10)
Unique sites:
K 0.000 0.230 0.000
Ba 0.500 0.500 0.500
Ni 0.500 0.000 0.500
F 0.029 0.500 0.746
F 0.152 0.000 0.324
F 0.393 0.172 0.683

***

2.
Starting from a cell relaxed with PBE+U, the XRD peak list of KBa2Ni2F9 was calculated for CuKα.
Peak positions follow from Bragg's law for the DFT cell and can differ from measured ones.

Principal peaks in the range 10° ≤ 2θ ≤ 90°, sorted by position:
- (1 0 1), d 4.915, 18.0 deg, I = 196
- (0 1 5), d 3.237, 27.6 deg, I = 1000
- (1 1 0), d 2.918, 30.6 deg, I = 747
- (0 2 4), d 2.279, 39.5 deg, I = 188
- (2 0 5), d 2.168, 41.7 deg, I = 694
- (1 0 10), d 1.945, 46.7 deg, I = 248
- (1 2 5), d 1.740, 52.6 deg, I = 340
- (3 0 0), d 1.685, 54.5 deg, I = 146
- (0 2 10), d 1.619, 56.9 deg, I = 162
- (2 2 0), d 1.459, 63.8 deg, I = 207
- (2 1 10), d 1.416, 66.0 deg, I = 165
- (3 1 5), d 1.330, 70.8 deg, I = 135

Lattice parameters (Å, degrees): 5.8361 5.8361 21.0791 90.00 90.00 120.00
Space group R3m (No. 160, hexagonal axes)
Unique sites:
K 0.0000 0.0000 0.0000
Ba 0.0000 0.0000 0.5818
Ba 0.0000 0.0000 0.7871
Ni 0.0000 0.0000 0.1791
Ni 0.0000 0.0000 0.3946
F 0.0049 0.5025 0.5594
F 0.1700 0.3400 0.1230
F 0.1708 0.3415 0.3493